No. 1
Diffraction record for MgCu2Ir4S8. The powder X-ray diffraction pattern is simulated, not measured: it uses a structure optimized by DFT (PBE) and Cu Kα X-rays.
Intensities are scaled so that the largest is 100.

The 10 most intense peaks (2θ from 15° to 90°), in order of falling intensity:
Position (°2θ)	d_spacing	I (rel.)	(hkl)
28.49	3.133	100	3 1 1
49.63	1.837	70	4 4 0
34.53	2.598	54	4 0 0
45.35	2.000	50	5 1 1
29.79	2.999	35	2 2 2
69.49	1.353	24	5 5 3
37.74	2.384	20	3 3 1
58.97	1.566	17	6 2 2
52.07	1.756	16	5 3 1
83.16	1.162	14	8 4 0

a = 10.3903 Å, b = 10.3903 Å, c = 10.3903 Å
α = 90.00°, β = 90.00°, γ = 90.00°
Space group F-43m (No. 216)
Unique sites:
Mg  0.0000  0.0000  0.0000 (multiplicity 4)
Cu  0.0000  0.0000  0.5000 (multiplicity 4)
Cu  0.2500  0.2500  0.7500 (multiplicity 4)
Ir  0.1337  0.1337  0.1337 (multiplicity 16)
S  0.1241  0.1241  0.8759 (multiplicity 16)
S  0.1408  0.1408  0.3592 (multiplicity 16)



No. 2
Diffraction record for MgCu2Ir4S8. The powder X-ray diffraction pattern is simulated, not measured: it uses a structure optimized by DFT (PBE) and Cu Kα X-rays.
Intensities are scaled so that the largest is 100.

The 10 most intense peaks (2θ from 15° to 90°), in order of falling intensity:
Position (°2θ)	d_spacing	I (rel.)	(hkl)
35.58	2.523	100	0 2 4
29.41	3.037	86	1 1 3
15.31	5.786	84	1 0 1
51.78	1.765	55	2 2 0
50.60	1.804	55	2 0 8
29.64	3.014	46	0 2 1
30.91	2.893	44	2 0 2
28.94	3.086	32	0 1 5
46.80	1.941	25	1 2 5
47.12	1.929	25	0 3 3

a = 7.0619 Å, b = 7.0619 Å, c = 17.8704 Å
α = 90.00°, β = 90.00°, γ = 120.00°
Space group R-3m (No. 166, hexagonal axes)
Unique sites:
Mg  0.0000  0.0000  0.0000 (multiplicity 3)
Cu  0.0000  0.0000  0.1399 (multiplicity 6)
Ir  0.0000  0.0000  0.5000 (multiplicity 3)
Ir  0.0000  0.5000  0.0000 (multiplicity 9)
S  0.0000  0.0000  0.2652 (multiplicity 6)
S  0.0348  0.5174  0.2541 (multiplicity 18)